Starting from a cell relaxed with PBE, the powder diffraction line list of CuH6CN2O3 was calculated for Cu Kα (λ = 1.5418 Å).
Intensities are scaled so that the largest is 100.

Main lines, low angle first (2θ from 10° to 80°):
d [Å]  2θ (°)  I_rel  index
6.160  14.4  30  0 1 1
5.774  15.3  43  1 0 0
5.103  17.4  100  1 1 0
4.404  20.2  63  0 2 1
4.338  20.5  88  1 1 -1
4.098  21.7  27  1 1 1
3.531  25.2  30  0 1 2
3.435  25.9  30  1 2 1
3.080  29.0  70  0 2 2
3.040  29.4  64  1 0 2
2.929  30.5  27  1 1 2
2.560  35.0  34  0 4 1

Structural model:
```
52
Lattice="5.7874 0.0000 0.0000 0.0000 10.9072 0.0000 -0.5162 0.0000 7.4647" Properties=species:S:1:pos:R:3 pbc="T T T"
Cu 0.6882 0.7619 1.4445
Cu 0.4302 4.6917 5.1768
Cu 4.8411 6.2155 2.2879
Cu 4.5830 10.1454 6.0202
H 0.4442 7.1770 5.7551
H 0.7023 9.1838 2.0227
H 0.8226 0.2279 4.6619
H 1.0807 5.2257 0.9295
H 1.0912 0.2423 6.2799
H 1.3493 5.2113 2.5475
H 1.5540 6.6117 1.7181
H 1.2959 9.7491 5.4504
H 1.7223 6.8567 4.7065
H 1.9804 9.5041 0.9741
H 1.8350 6.4981 6.3126
H 2.0931 9.8627 2.5802
H 3.1781 1.0445 4.8844
H 3.4362 4.4091 1.1521
H 3.2909 1.4031 6.4905
H 3.5490 4.0505 2.7582
H 3.9754 1.1581 2.0142
H 3.7173 4.2955 5.7466
H 3.9219 5.6959 4.9172
H 4.1800 10.6649 1.1848
H 4.1905 5.6815 6.5352
H 4.4486 10.6793 2.8028
H 4.5690 1.7234 5.4419
H 4.8271 3.7302 1.7096
C 1.5140 2.7250 0.2734
C 1.2559 2.7286 4.0057
C 4.0153 8.1786 3.4590
C 3.7573 8.1823 7.1913
N 0.9548 5.7841 1.7878
N 0.6967 10.5768 5.5201
N 1.1864 6.5033 5.5127
N 1.4445 9.8575 1.7804
N 3.8268 1.0497 5.6843
N 4.0849 4.4039 1.9519
N 4.5745 0.3304 1.9446
N 4.3164 5.1232 5.6769
O 0.3223 2.6194 0.8210
O 0.0642 2.8342 4.5533
O 1.6976 1.6484 3.5123
O 1.4395 3.8053 7.2447
O 2.2055 1.6033 0.3115
O 1.9474 3.8503 4.0438
O 3.3239 7.0569 3.4209
O 3.0658 9.3039 7.1532
O 3.8317 7.1020 0.2200
O 3.5737 9.2589 3.9523
O 5.2071 8.0730 2.9114
O 4.9490 8.2878 6.6437
```